[1]
# KTl2GaF6
Simulated powder diffractogram, a wavelength of 1.5418 Å. Input: a GGA-PBE-relaxed structure.
Neutral-atom scattering factors, no anomalous dispersion.

a = 6.3263 Å, b = 6.3263 Å, c = 6.3263 Å
α = 60.00°, β = 60.00°, γ = 60.00°
Positions (direct):
K: 0.0000 0.0000 0.0000
Tl: 0.2500 0.2500 0.2500
Tl: 0.7500 0.7500 0.7500
Ga: 0.5000 0.5000 0.5000
F: 0.2846 0.2846 0.7154
F: 0.2846 0.7154 0.2846
F: 0.2846 0.7154 0.7154
F: 0.7154 0.2846 0.2846
F: 0.7154 0.2846 0.7154
F: 0.7154 0.7154 0.2846

Largest 10 diffraction maxima, by angle, 2θ = 10–90°:
4.473 Å, intensity 275
3.163 Å, intensity 1000
2.583 Å, intensity 260
2.237 Å, intensity 317
2.001 Å, intensity 165
1.826 Å, intensity 402
1.582 Å, intensity 197
1.491 Å, intensity 89
1.415 Å, intensity 201
1.196 Å, intensity 225

[2]
# Li3GaF6
Simulated powder diffractogram, a wavelength of 1.5418 Å. Input: a GGA-PBE-relaxed structure.
Neutral-atom scattering factors, no anomalous dispersion.

a = 8.5069 Å, b = 8.5069 Å, c = 10.1859 Å
α = 94.21°, β = 94.21°, γ = 61.64°
Positions (direct):
Li: 0.0074 0.7128 0.2298
Li: 0.0614 0.3444 0.4312
Li: 0.1228 0.5409 0.9476
Li: 0.1882 0.8118 0.7500
Li: 0.2872 0.9926 0.2702
Li: 0.3257 0.6289 0.4617
Li: 0.3444 0.0614 0.9312
Li: 0.3711 0.6743 0.0383
Li: 0.4591 0.8772 0.5524
Li: 0.5409 0.1228 0.4476
Li: 0.6289 0.3257 0.9617
Li: 0.6556 0.9386 0.0688
Li: 0.6743 0.3711 0.5383
Li: 0.7128 0.0074 0.7298
Li: 0.8118 0.1882 0.2500
Li: 0.8772 0.4591 0.0524
Li: 0.9386 0.6556 0.5688
Li: 0.9926 0.2872 0.7702
Ga: 0.0000 0.0000 0.0000
Ga: 0.0000 0.0000 0.5000
Ga: 0.3347 0.3409 0.7037
Ga: 0.3409 0.3347 0.2037
Ga: 0.6591 0.6653 0.7963
Ga: 0.6653 0.6591 0.2963
F: 0.0657 0.0762 0.1647
F: 0.0762 0.0657 0.6647
F: 0.0869 0.7611 0.0619
F: 0.0901 0.7634 0.5656
F: 0.1091 0.4158 0.6061
F: 0.1110 0.4292 0.1102
F: 0.2263 0.2693 0.8352
F: 0.2366 0.9099 0.9344
F: 0.2389 0.9131 0.4381
F: 0.2406 0.5556 0.3055
F: 0.2456 0.5651 0.8019
F: 0.2693 0.2263 0.3352
F: 0.4142 0.4289 0.0680
F: 0.4158 0.1091 0.1061
F: 0.4292 0.1110 0.6102
F: 0.4289 0.4142 0.5680
F: 0.4349 0.7544 0.6981
F: 0.4444 0.7594 0.1945
F: 0.5556 0.2406 0.8055
F: 0.5651 0.2456 0.3019
F: 0.5711 0.5858 0.4320
F: 0.5708 0.8890 0.3898
F: 0.5842 0.8909 0.8939
F: 0.5858 0.5711 0.9320
F: 0.7307 0.7737 0.6648
F: 0.7544 0.4349 0.1981
F: 0.7594 0.4444 0.6945
F: 0.7611 0.0869 0.5619
F: 0.7634 0.0901 0.0656
F: 0.7737 0.7307 0.1648
F: 0.8890 0.5708 0.8898
F: 0.8909 0.5842 0.3939
F: 0.9099 0.2366 0.4344
F: 0.9131 0.2389 0.9381
F: 0.9238 0.9343 0.3353
F: 0.9343 0.9238 0.8353

Largest 10 diffraction maxima, by angle, 2θ = 10–90°:
4.357 Å, intensity 443
4.287 Å, intensity 738
4.240 Å, intensity 1000
4.005 Å, intensity 382
3.083 Å, intensity 320
2.949 Å, intensity 320
2.200 Å, intensity 282
1.948 Å, intensity 167
1.867 Å, intensity 193
1.639 Å, intensity 227

[3]
# Li3GaF6
Simulated powder diffractogram, a wavelength of 1.5418 Å. Input: a GGA-PBE-relaxed structure.
Neutral-atom scattering factors, no anomalous dispersion.

a = 5.4466 Å, b = 5.4466 Å, c = 5.4466 Å
α = 60.00°, β = 60.00°, γ = 60.00°
Positions (direct):
Li: 0.0000 0.0000 0.0000
Li: 0.2500 0.2500 0.2500
Li: 0.7500 0.7500 0.7500
Ga: 0.5000 0.5000 0.5000
F: 0.2539 0.2539 0.7461
F: 0.2539 0.7461 0.2539
F: 0.2539 0.7461 0.7461
F: 0.7461 0.2539 0.2539
F: 0.7461 0.2539 0.7461
F: 0.7461 0.7461 0.2539

Largest 10 diffraction maxima, by angle, 2θ = 10–90°:
4.447 Å, intensity 787
3.851 Å, intensity 1000
2.723 Å, intensity 159
2.322 Å, intensity 387
1.926 Å, intensity 471
1.767 Å, intensity 148
1.722 Å, intensity 353
1.482 Å, intensity 133
1.362 Å, intensity 247
1.284 Å, intensity 146

[4]
# Na2LiGaF6
Simulated powder diffractogram, a wavelength of 1.5418 Å. Input: a GGA-PBE-relaxed structure.
Neutral-atom scattering factors, no anomalous dispersion.

a = 5.5259 Å, b = 5.5259 Å, c = 5.5259 Å
α = 60.00°, β = 60.00°, γ = 60.00°
Positions (direct):
Na: 0.2500 0.2500 0.2500
Na: 0.7500 0.7500 0.7500
Li: 0.0000 0.0000 0.0000
Ga: 0.5000 0.5000 0.5000
F: 0.2558 0.2558 0.7442
F: 0.2558 0.7442 0.2558
F: 0.2558 0.7442 0.7442
F: 0.7442 0.2558 0.2558
F: 0.7442 0.2558 0.7442
F: 0.7442 0.7442 0.2558

Largest 10 diffraction maxima, by angle, 2θ = 10–90°:
4.512 Å, intensity 1000
3.907 Å, intensity 511
2.763 Å, intensity 632
2.356 Å, intensity 469
2.256 Å, intensity 222
1.954 Å, intensity 826
1.747 Å, intensity 179
1.595 Å, intensity 253
1.504 Å, intensity 171
1.381 Å, intensity 436

[5]
# LiGaPO4F
Simulated powder diffractogram, a wavelength of 1.5418 Å. Input: a GGA-PBE-relaxed structure.
Neutral-atom scattering factors, no anomalous dispersion.

a = 5.1674 Å, b = 5.2877 Å, c = 7.2555 Å
α = 107.10°, β = 108.76°, γ = 98.39°
Positions (direct):
Li: 0.2175 0.3715 0.2826
Li: 0.7825 0.6285 0.7174
Ga: 0.5000 0.0000 0.0000
Ga: 0.5000 0.0000 0.5000
P: 0.1776 0.3514 0.7387
P: 0.8224 0.6486 0.2613
O: 0.1329 0.7608 0.4235
O: 0.1955 0.6586 0.8463
O: 0.2370 0.2039 0.8951
O: 0.3868 0.3322 0.6219
O: 0.6132 0.6678 0.3781
O: 0.7630 0.7961 0.1049
O: 0.8045 0.3414 0.1537
O: 0.8671 0.2392 0.5765
F: 0.3692 0.0610 0.2333
F: 0.6308 0.9390 0.7667

Largest 10 diffraction maxima, by angle, 2θ = 10–90°:
4.872 Å, intensity 667
4.717 Å, intensity 839
3.955 Å, intensity 428
3.328 Å, intensity 296
3.305 Å, intensity 751
3.277 Å, intensity 1000
3.012 Å, intensity 971
2.522 Å, intensity 258
2.446 Å, intensity 382
1.623 Å, intensity 328

[6]
# Rb2LiGaF6
Simulated powder diffractogram, a wavelength of 1.5418 Å. Input: a GGA-PBE-relaxed structure.
Neutral-atom scattering factors, no anomalous dispersion.

a = 5.8902 Å, b = 5.8902 Å, c = 5.8902 Å
α = 60.00°, β = 60.00°, γ = 60.00°
Positions (direct):
Rb: 0.2500 0.2500 0.2500
Rb: 0.7500 0.7500 0.7500
Li: 0.0000 0.0000 0.0000
Ga: 0.5000 0.5000 0.5000
F: 0.2662 0.2662 0.7338
F: 0.2662 0.7338 0.2662
F: 0.2662 0.7338 0.7338
F: 0.7338 0.2662 0.2662
F: 0.7338 0.2662 0.7338
F: 0.7338 0.7338 0.2662

Largest 10 diffraction maxima, by angle, 2θ = 10–90°:
4.809 Å, intensity 326
2.945 Å, intensity 1000
2.512 Å, intensity 118
2.405 Å, intensity 364
2.083 Å, intensity 528
1.700 Å, intensity 391
1.473 Å, intensity 308
1.317 Å, intensity 185
1.256 Å, intensity 98
1.113 Å, intensity 221

[7]
# Rb2LiGaF6
Simulated powder diffractogram, a wavelength of 1.5418 Å. Input: a GGA-PBE-relaxed structure.
Neutral-atom scattering factors, no anomalous dispersion.

a = 10.2736 Å, b = 10.2736 Å, c = 10.2736 Å
α = 33.76°, β = 33.76°, γ = 33.76°
Positions (direct):
Rb: 0.1276 0.1276 0.1276
Rb: 0.2829 0.2829 0.2829
Rb: 0.7171 0.7171 0.7171
Rb: 0.8724 0.8724 0.8724
Li: 0.4041 0.4041 0.4041
Li: 0.5959 0.5959 0.5959
Ga: 0.0000 0.0000 0.0000
Ga: 0.5000 0.5000 0.5000
F: 0.1649 0.6067 0.6067
F: 0.1932 0.1932 0.7275
F: 0.1932 0.7275 0.1932
F: 0.2725 0.8068 0.8068
F: 0.3933 0.3933 0.8351
F: 0.3933 0.8351 0.3933
F: 0.6067 0.1649 0.6067
F: 0.6067 0.6067 0.1649
F: 0.7275 0.1932 0.1932
F: 0.8068 0.2725 0.8068
F: 0.8068 0.8068 0.2725
F: 0.8351 0.3933 0.3933

Largest 10 diffraction maxima, by angle, 2θ = 10–90°:
4.210 Å, intensity 186
3.860 Å, intensity 408
3.235 Å, intensity 469
2.983 Å, intensity 1000
2.970 Å, intensity 430
2.361 Å, intensity 540
2.193 Å, intensity 571
2.105 Å, intensity 229
1.721 Å, intensity 388
1.492 Å, intensity 296

[8]
# SrLiGaF6
Simulated powder diffractogram, a wavelength of 1.5418 Å. Input: a GGA-PBE-relaxed structure.
Neutral-atom scattering factors, no anomalous dispersion.

a = 5.2319 Å, b = 5.2319 Å, c = 10.4680 Å
α = 90.00°, β = 90.00°, γ = 120.00°
Positions (direct):
Sr: 0.0000 0.0000 0.0000
Sr: 0.0000 0.0000 0.5000
Li: 0.3333 0.6667 0.2500
Li: 0.6667 0.3333 0.7500
Ga: 0.3333 0.6667 0.7500
Ga: 0.6667 0.3333 0.2500
F: 0.0189 0.3778 0.8547
F: 0.0189 0.6411 0.6453
F: 0.3589 0.3778 0.6453
F: 0.3589 0.9811 0.8547
F: 0.3778 0.0189 0.3547
F: 0.3778 0.3589 0.1453
F: 0.6222 0.6411 0.8547
F: 0.6222 0.9811 0.6453
F: 0.6411 0.0189 0.1453
F: 0.6411 0.6222 0.3547
F: 0.9811 0.3589 0.3547
F: 0.9811 0.6222 0.1453

Largest 10 diffraction maxima, by angle, 2θ = 10–90°:
4.158 Å, intensity 403
3.426 Å, intensity 1000
2.616 Å, intensity 190
2.340 Å, intensity 184
2.079 Å, intensity 206
1.850 Å, intensity 462
1.628 Å, intensity 314
1.510 Å, intensity 156
1.222 Å, intensity 179
1.170 Å, intensity 138